Calculated powder X-ray diffraction pattern of Tl3HgRh for Cu Kα (λ = 1.5418 Å), from the PBE geometry in Alexandria.
Neutral-atom scattering factors, no anomalous dispersion.

Top 12 peaks for 2θ = 15–90°, in order of falling intensity:
2θ (°)	d/Å	I (rel.)
34.17	2.624	100
29.17	3.062	85
28.79	3.101	80
33.99	2.638	76
37.90	2.374	59
44.76	2.025	48
35.38	2.537	45
33.80	2.652	42
28.48	3.134	32
51.81	1.764	30
59.60	1.551	25
29.45	3.033	20

Crystal structure
Cell lengths 5.3652, 5.3816, 9.7332 Å; angles 98.85, 97.72, 97.82 degrees
Atoms (fractional coordinates):
Tl 0.0000 0.0000 0.0000
Tl 0.0362 0.5553 0.2386
Tl 0.3948 0.3682 0.5194
Tl 0.4522 0.9447 0.7797
Tl 0.5490 0.0349 0.2367
Tl 0.8892 0.8650 0.5322
Hg 0.4737 0.4863 0.9680
Hg 0.9430 0.4439 0.7639
Rh 0.3775 0.8593 0.4896
Rh 0.5408 0.5373 0.2566

Calculated powder X-ray diffraction pattern of Tm3HgRh for Cu Kα (λ = 1.5418 Å), from the PBE geometry in Alexandria.
Neutral-atom scattering factors, no anomalous dispersion.

Top 12 peaks for 2θ = 15–90°, in order of falling intensity:
2θ (°)	d/Å	I (rel.)
34.78	2.580	100
29.06	3.073	47
39.73	2.269	29
28.45	3.137	26
31.98	2.798	22
40.27	2.240	17
42.02	2.150	13
68.93	1.362	13
54.20	1.692	12
49.59	1.838	11
69.27	1.356	11
62.67	1.482	11

Crystal structure
Cell lengths 4.5371, 6.7692, 8.3539 Å; angles 90.00, 90.00, 90.00 degrees
Atoms (fractional coordinates):
Tm 0.2500 0.0012 0.1578
Tm 0.2500 0.4988 0.1578
Tm 0.2500 0.7500 0.5617
Tm 0.7500 0.2500 0.4383
Tm 0.7500 0.5012 0.8422
Tm 0.7500 0.9988 0.8422
Hg 0.2500 0.2500 0.6767
Hg 0.7500 0.7500 0.3233
Rh 0.2500 0.7500 0.8897
Rh 0.7500 0.2500 0.1103

Calculated powder X-ray diffraction pattern of Tm5Hg2Rh2 for Cu Kα (λ = 1.5418 Å), from the PBE geometry in Alexandria.
Neutral-atom scattering factors, no anomalous dispersion.

Top 12 peaks for 2θ = 15–90°, in order of falling intensity:
2θ (°)	d/Å	I (rel.)
33.31	2.690	100
35.48	2.530	61
33.05	2.711	48
34.03	2.635	47
31.74	2.819	46
38.38	2.345	42
38.90	2.315	40
39.39	2.287	30
60.43	1.532	25
66.67	1.403	19
67.02	1.396	19
71.68	1.317	18

Crystal structure
Cell lengths 8.6577, 8.6577, 7.5141 Å; angles 90.00, 90.00, 50.54 degrees
Atoms (fractional coordinates):
Tm 0.0000 0.0000 0.0000
Tm 0.0478 0.7071 0.6696
Tm 0.2071 0.5478 0.1696
Tm 0.2929 0.9522 0.6696
Tm 0.4522 0.7929 0.1696
Tm 0.5000 0.5000 0.5000
Tm 0.5478 0.2071 0.8304
Tm 0.7071 0.0478 0.3304
Tm 0.7929 0.4522 0.8304
Tm 0.9522 0.2929 0.3304
Hg 0.2142 0.2142 0.0000
Hg 0.2858 0.2858 0.5000
Hg 0.7142 0.7142 0.5000
Hg 0.7858 0.7858 0.0000
Rh 0.1331 0.8669 0.3643
Rh 0.3669 0.6331 0.8643
Rh 0.6331 0.3669 0.1357
Rh 0.8669 0.1331 0.6357

Calculated powder X-ray diffraction pattern of Tm3HgRh for Cu Kα (λ = 1.5418 Å), from the PBE geometry in Alexandria.
Neutral-atom scattering factors, no anomalous dispersion.

Top 12 peaks for 2θ = 15–90°, in order of falling intensity:
2θ (°)	d/Å	I (rel.)
34.45	2.603	100
29.68	3.010	93
35.96	2.497	53
36.80	2.443	51
30.64	2.918	48
44.61	2.031	47
35.29	2.543	35
28.39	3.143	33
55.95	1.643	27
34.84	2.575	26
58.58	1.576	26
42.26	2.139	25

Crystal structure
Cell lengths 7.9161, 7.9161, 10.0431 Å; angles 123.40, 123.40, 29.74 degrees
Atoms (fractional coordinates):
Tm 0.0908 0.0908 0.4467
Tm 0.3335 0.3335 0.2012
Tm 0.3633 0.3633 0.7922
Tm 0.6367 0.6367 0.2078
Tm 0.6665 0.6665 0.7988
Tm 0.9092 0.9092 0.5533
Hg 0.0773 0.0773 0.9276
Hg 0.9227 0.9227 0.0724
Rh 0.2684 0.2684 0.4105
Rh 0.7316 0.7316 0.5895

Calculated powder X-ray diffraction pattern of Y6HgRh5 for Cu Kα (λ = 1.5418 Å), from the PBE geometry in Alexandria.
Neutral-atom scattering factors, no anomalous dispersion.

Top 12 peaks for 2θ = 15–90°, in order of falling intensity:
2θ (°)	d/Å	I (rel.)
36.33	2.473	100
36.71	2.448	49
65.84	1.418	25
65.13	1.432	17
51.76	1.766	9
65.92	1.417	8
52.83	1.733	8
52.95	1.729	8
87.51	1.115	8
89.41	1.096	7
77.10	1.237	5
77.21	1.236	5

Crystal structure
Cell lengths 4.8945, 7.0645, 7.7389 Å; angles 90.00, 108.31, 90.00 degrees
Atoms (fractional coordinates):
Y 0.0000 0.2378 0.0000
Y 0.0000 0.7622 0.0000
Y 0.3285 0.2465 0.6571
Y 0.3285 0.7535 0.6571
Y 0.6715 0.2465 0.3429
Y 0.6715 0.7535 0.3429
Hg 0.5000 0.5000 0.0000
Rh 0.1652 0.5000 0.3309
Rh 0.1668 0.0000 0.3342
Rh 0.5000 0.0000 0.0000
Rh 0.8332 0.0000 0.6658
Rh 0.8348 0.5000 0.6691

Calculated powder X-ray diffraction pattern of Y2Hg3Rh for Cu Kα (λ = 1.5418 Å), from the PBE geometry in Alexandria.
Neutral-atom scattering factors, no anomalous dispersion.

Top 12 peaks for 2θ = 15–90°, in order of falling intensity:
2θ (°)	d/Å	I (rel.)
37.03	2.428	100
33.71	2.659	99
45.77	1.982	48
66.76	1.401	47
25.96	3.433	31
50.93	1.793	27
21.12	4.206	21
64.59	1.443	14
53.38	1.716	13
64.70	1.441	10
84.64	1.145	10
88.57	1.104	9

Crystal structure
Cell lengths 3.4327, 4.8486, 8.4223 Å; angles 90.00, 90.00, 90.00 degrees
Atoms (fractional coordinates):
Y 0.0000 0.0000 0.0000
Y 0.0000 0.5000 0.4254
Hg 0.5000 0.0000 0.6080
Hg 0.5000 0.5000 0.1191
Hg 0.5000 0.5000 0.7826
Rh 0.5000 0.0000 0.2801

Calculated powder X-ray diffraction pattern of Zr4HgRh for Cu Kα (λ = 1.5418 Å), from the PBE geometry in Alexandria.
Neutral-atom scattering factors, no anomalous dispersion.

Top 12 peaks for 2θ = 15–90°, in order of falling intensity:
2θ (°)	d/Å	I (rel.)
23.35	3.809	100
38.24	2.354	100
39.28	2.294	64
46.20	1.965	33
38.32	2.349	33
70.46	1.336	22
56.76	1.622	21
70.59	1.334	21
44.40	2.040	19
53.64	1.709	11
30.51	2.930	11
68.39	1.372	11

Crystal structure
Cell lengths 4.5873, 4.5873, 6.8343 Å; angles 90.13, 90.13, 90.00 degrees
Atoms (fractional coordinates):
Zr 0.0006 0.5009 0.7699
Zr 0.4991 0.9994 0.2301
Zr 0.5009 0.0006 0.7699
Zr 0.9994 0.4991 0.2301
Hg 0.0000 0.0000 0.5000
Rh 0.5000 0.5000 0.0000

Calculated powder X-ray diffraction pattern of HgRu for Cu Kα (λ = 1.5418 Å), from the PBE geometry in Alexandria.
Neutral-atom scattering factors, no anomalous dispersion.

Top 12 peaks for 2θ = 15–90°, in order of falling intensity:
2θ (°)	d/Å	I (rel.)
40.36	2.235	100
36.88	2.437	37
35.72	2.514	25
64.17	1.451	19
27.42	3.253	18
76.35	1.247	18
60.01	1.542	16
78.59	1.217	15
52.25	1.751	13
68.74	1.366	9
71.13	1.325	8
45.61	1.989	8

Crystal structure
Cell lengths 2.9029, 2.9029, 9.7584 Å; angles 90.00, 90.00, 120.00 degrees
Atoms (fractional coordinates):
Hg 0.3333 0.6667 0.3516
Hg 0.6667 0.3333 0.6484
Ru 0.3333 0.6667 0.9000
Ru 0.6667 0.3333 0.1000

Calculated powder X-ray diffraction pattern of Hg3Ru5 for Cu Kα (λ = 1.5418 Å), from the PBE geometry in Alexandria.
Neutral-atom scattering factors, no anomalous dispersion.

Top 12 peaks for 2θ = 15–90°, in order of falling intensity:
2θ (°)	d/Å	I (rel.)
38.66	2.329	100
44.31	2.044	17
44.91	2.018	16
45.59	1.990	16
77.76	1.228	13
79.60	1.204	12
78.61	1.217	12
82.90	1.165	11
65.46	1.426	11
64.93	1.436	11
65.92	1.417	10
22.02	4.037	7

Crystal structure
Cell lengths 5.7456, 5.7456, 3.9797 Å; angles 90.00, 90.00, 90.72 degrees
Atoms (fractional coordinates):
Hg 0.0000 0.0000 0.0000
Hg 0.2522 0.7478 0.5000
Hg 0.7478 0.2522 0.5000
Ru 0.0000 0.5000 0.0000
Ru 0.2660 0.2660 0.5000
Ru 0.5000 0.0000 0.0000
Ru 0.5000 0.5000 0.0000
Ru 0.7340 0.7340 0.5000

Calculated powder X-ray diffraction pattern of HgRu5 for Cu Kα (λ = 1.5418 Å), from the PBE geometry in Alexandria.
Neutral-atom scattering factors, no anomalous dispersion.

Top 12 peaks for 2θ = 15–90°, in order of falling intensity:
2θ (°)	d/Å	I (rel.)
42.55	2.125	100
42.70	2.118	67
40.23	2.242	50
37.33	2.409	31
42.98	2.105	30
81.31	1.183	25
67.60	1.386	21
37.54	2.396	19
55.90	1.645	18
74.95	1.267	13
82.07	1.174	12
74.56	1.273	12

Crystal structure
Cell lengths 5.2909, 5.2909, 6.5306 Å; angles 104.27, 104.27, 30.54 degrees
Atoms (fractional coordinates):
Hg 0.0000 0.0000 0.0000
Ru 0.0531 0.0531 0.5983
Ru 0.3204 0.3204 0.6521
Ru 0.3780 0.3780 0.2886
Ru 0.6711 0.6711 0.3425
Ru 0.7241 0.7241 0.9267

Calculated powder X-ray diffraction pattern of Hg2Ru3 for Cu Kα (λ = 1.5418 Å), from the PBE geometry in Alexandria.
Neutral-atom scattering factors, no anomalous dispersion.

Top 12 peaks for 2θ = 15–90°, in order of falling intensity:
2θ (°)	d/Å	I (rel.)
39.87	2.261	100
40.48	2.228	90
73.22	1.293	34
58.13	1.587	33
23.05	3.859	30
28.11	3.174	28
71.98	1.312	17
15.88	5.579	17
73.64	1.286	15
85.99	1.130	11
87.58	1.114	10
43.75	2.069	9

Crystal structure
Cell lengths 4.4563, 4.4563, 5.5795 Å; angles 90.00, 90.00, 120.00 degrees
Atoms (fractional coordinates):
Hg 0.3333 0.6667 0.3264
Hg 0.6667 0.3333 0.6736
Ru 0.0000 0.0000 0.5000
Ru 0.3333 0.6667 0.8456
Ru 0.6667 0.3333 0.1544

Calculated powder X-ray diffraction pattern of Hg2Ru for Cu Kα (λ = 1.5418 Å), from the PBE geometry in Alexandria.
Neutral-atom scattering factors, no anomalous dispersion.

Top 12 peaks for 2θ = 15–90°, in order of falling intensity:
2θ (°)	d/Å	I (rel.)
34.28	2.616	100
38.42	2.343	61
41.07	2.198	59
31.47	2.842	59
41.76	2.163	56
36.14	2.485	45
72.19	1.309	36
37.76	2.383	34
73.04	1.295	29
37.26	2.413	27
55.84	1.646	26
40.11	2.248	26

Crystal structure
Cell lengths 5.7745, 4.3959, 9.7638 Å; angles 90.00, 90.00, 90.00 degrees
Atoms (fractional coordinates):
Hg 0.0881 0.2500 0.0867
Hg 0.2241 0.7500 0.2803
Hg 0.2759 0.2500 0.7803
Hg 0.4119 0.7500 0.5867
Hg 0.5881 0.2500 0.4133
Hg 0.7241 0.7500 0.2197
Hg 0.7759 0.2500 0.7197
Hg 0.9119 0.7500 0.9133
Ru 0.0909 0.2500 0.5032
Ru 0.4091 0.7500 0.0032
Ru 0.5909 0.2500 0.9968
Ru 0.9091 0.7500 0.4968